No. 1
The following is a computed powder XRD pattern of CsP8W8O40. It was derived from a crystal structure in the Materials Project, relaxed with GGA+U, using Cu Kα X-rays.
No peak broadening, texture or thermal motion is included.

Cell and atoms:
a b c (Å): 5.415 12.524 13.368
angles (deg): 90.00 90.13 90.00
Element x y z (fractional)
Cs (0.000, 0.000, 0.000)
P (0.011, 0.120, 0.721)
P (0.011, 0.880, 0.721)
P (0.482, 0.381, 0.684)
P (0.482, 0.619, 0.684)
P (0.510, 0.120, 0.184)
P (0.510, 0.880, 0.184)
P (0.981, 0.381, 0.223)
P (0.981, 0.619, 0.223)
W (0.000, 0.152, 0.353)
W (0.000, 0.848, 0.353)
W (0.494, 0.349, 0.053)
W (0.494, 0.651, 0.053)
W (0.500, 0.152, 0.551)
W (0.500, 0.848, 0.551)
W (0.994, 0.347, 0.855)
W (0.994, 0.653, 0.855)
O (0.001, 0.500, 0.269)
O (0.004, 0.000, 0.369)
O (0.010, 0.309, 0.316)
O (0.010, 0.691, 0.316)
O (0.191, 0.365, 0.150)
O (0.191, 0.635, 0.150)
O (0.228, 0.369, 0.730)
O (0.228, 0.631, 0.730)
O (0.232, 0.171, 0.470)
O (0.232, 0.829, 0.470)
O (0.261, 0.322, 0.937)
O (0.261, 0.678, 0.937)
O (0.265, 0.132, 0.674)
O (0.265, 0.868, 0.674)
O (0.301, 0.133, 0.257)
O (0.301, 0.867, 0.257)
O (0.478, 0.186, 0.088)
O (0.478, 0.814, 0.088)
O (0.483, 0.500, 0.039)
O (0.491, 0.000, 0.137)
O (0.502, 0.500, 0.637)
O (0.507, 0.000, 0.538)
O (0.511, 0.309, 0.591)
O (0.511, 0.691, 0.591)
O (0.698, 0.364, 0.755)
O (0.698, 0.636, 0.755)
O (0.725, 0.368, 0.178)
O (0.725, 0.632, 0.178)
O (0.729, 0.173, 0.447)
O (0.729, 0.827, 0.447)
O (0.761, 0.322, 0.963)
O (0.761, 0.678, 0.963)
O (0.769, 0.130, 0.227)
O (0.769, 0.870, 0.227)
O (0.796, 0.134, 0.649)
O (0.796, 0.866, 0.649)
O (0.972, 0.500, 0.873)
O (0.979, 0.183, 0.818)
O (0.979, 0.817, 0.818)
O (0.995, 0.000, 0.765)

The 10 most intense peaks (2θ = 10–80°), in order of rising 2θ:
2θ/deg  intensity
21.12  100
22.31  59
26.87  56
28.51  19
33.08  19
33.76  36
35.75  25
40.27  15
48.70  13
58.11  13

***

No. 2
The following is a computed powder XRD pattern of CsV2S2O. It was derived from a crystal structure in the Materials Project, relaxed with GGA+U, using Cu Kα X-rays.
No peak broadening, texture or thermal motion is included.

Cell and atoms:
a b c (Å): 4.102 4.102 7.591
angles (deg): 90.00 90.00 90.00
Element x y z (fractional)
Cs (0.000, 0.000, 0.000)
V (0.000, 0.500, 0.500)
V (0.500, 0.000, 0.500)
S (0.500, 0.500, 0.288)
S (0.500, 0.500, 0.712)
O (0.000, 0.000, 0.500)

The 10 most intense peaks (2θ = 10–80°), in order of rising 2θ:
2θ/deg  intensity
23.44  47
24.67  77
32.13  100
33.06  85
44.16  45
47.70  49
50.59  22
51.24  21
55.65  38
67.21  20

***

No. 3
The following is a computed powder XRD pattern of Cs4V2S4O3. It was derived from a crystal structure in the Materials Project, relaxed with GGA+U, using Cu Kα X-rays.
No peak broadening, texture or thermal motion is included.

Cell and atoms:
a b c (Å): 13.583 8.987 12.662
angles (deg): 90.00 90.00 90.00
Element x y z (fractional)
Cs (0.058, 0.250, 0.142)
Cs (0.087, 0.750, 0.150)
Cs (0.164, 0.250, 0.435)
Cs (0.165, 0.750, 0.510)
Cs (0.335, 0.250, 0.010)
Cs (0.336, 0.750, 0.935)
Cs (0.413, 0.250, 0.650)
Cs (0.442, 0.750, 0.642)
Cs (0.558, 0.250, 0.358)
Cs (0.587, 0.750, 0.350)
Cs (0.664, 0.250, 0.065)
Cs (0.665, 0.750, 0.990)
Cs (0.835, 0.250, 0.490)
Cs (0.836, 0.750, 0.565)
Cs (0.913, 0.250, 0.850)
Cs (0.942, 0.750, 0.858)
V (0.166, 0.054, 0.752)
V (0.166, 0.446, 0.752)
V (0.334, 0.554, 0.252)
V (0.334, 0.946, 0.252)
V (0.666, 0.054, 0.748)
V (0.666, 0.446, 0.748)
V (0.834, 0.554, 0.248)
V (0.834, 0.946, 0.248)
S (0.035, 0.014, 0.657)
S (0.035, 0.486, 0.657)
S (0.137, 0.007, 0.918)
S (0.137, 0.493, 0.918)
S (0.363, 0.507, 0.418)
S (0.363, 0.993, 0.418)
S (0.465, 0.514, 0.157)
S (0.465, 0.986, 0.157)
S (0.535, 0.014, 0.843)
S (0.535, 0.486, 0.843)
S (0.637, 0.007, 0.582)
S (0.637, 0.493, 0.582)
S (0.863, 0.507, 0.082)
S (0.863, 0.993, 0.082)
S (0.965, 0.514, 0.343)
S (0.965, 0.986, 0.343)
O (0.202, 0.250, 0.737)
O (0.240, 0.050, 0.208)
O (0.240, 0.450, 0.208)
O (0.260, 0.550, 0.708)
O (0.260, 0.950, 0.708)
O (0.298, 0.750, 0.237)
O (0.702, 0.250, 0.763)
O (0.740, 0.050, 0.292)
O (0.740, 0.450, 0.292)
O (0.760, 0.550, 0.792)
O (0.760, 0.950, 0.792)
O (0.798, 0.750, 0.263)

The 10 most intense peaks (2θ = 10–80°), in order of rising 2θ:
2θ/deg  intensity
19.76  30
22.05  31
24.18  29
24.79  97
26.18  34
28.89  100
29.78  74
31.41  26
35.99  28
40.14  30

***

No. 4
The following is a computed powder XRD pattern of Cs2W3S8O4. It was derived from a crystal structure in the Materials Project, relaxed with GGA+U, using Cu Kα X-rays.
No peak broadening, texture or thermal motion is included.

Cell and atoms:
a b c (Å): 7.314 19.984 7.694
angles (deg): 90.00 101.56 90.00
Element x y z (fractional)
Cs (0.018, 0.000, 0.115)
Cs (0.448, 0.716, 0.369)
Cs (0.552, 0.216, 0.631)
Cs (0.982, 0.500, 0.885)
W (0.146, 0.709, 0.778)
W (0.241, 0.856, 0.793)
W (0.365, 0.997, 0.673)
W (0.635, 0.497, 0.327)
W (0.759, 0.356, 0.207)
W (0.854, 0.209, 0.222)
S (0.060, 0.668, 0.018)
S (0.071, 0.952, 0.620)
S (0.088, 0.292, 0.257)
S (0.131, 0.626, 0.590)
S (0.408, 0.069, 0.891)
S (0.434, 0.043, 0.437)
S (0.439, 0.752, 0.902)
S (0.457, 0.404, 0.245)
S (0.543, 0.904, 0.755)
S (0.561, 0.252, 0.098)
S (0.566, 0.543, 0.563)
S (0.592, 0.569, 0.109)
S (0.869, 0.126, 0.410)
S (0.912, 0.792, 0.743)
S (0.929, 0.452, 0.380)
S (0.940, 0.168, 0.982)
O (0.178, 0.334, 0.753)
O (0.184, 0.788, 0.597)
O (0.217, 0.882, 0.007)
O (0.311, 0.370, 0.739)
O (0.689, 0.870, 0.261)
O (0.783, 0.382, 0.993)
O (0.816, 0.288, 0.403)
O (0.822, 0.834, 0.247)

The 10 most intense peaks (2θ = 10–80°), in order of rising 2θ:
2θ/deg  intensity
12.55  81
13.12  100
15.89  50
17.71  29
18.72  62
25.97  26
26.81  41
32.65  23
32.86  24
40.11  24

***

No. 5
The following is a computed powder XRD pattern of CsV2SbO8. It was derived from a crystal structure in the Materials Project, relaxed with GGA+U, using Cu Kα X-rays.
No peak broadening, texture or thermal motion is included.

Cell and atoms:
a b c (Å): 5.710 17.105 10.339
angles (deg): 90.00 122.94 90.00
Element x y z (fractional)
Cs (0.233, 0.218, 0.496)
Cs (0.233, 0.282, 0.996)
Cs (0.767, 0.718, 0.004)
Cs (0.767, 0.782, 0.504)
V (0.297, 0.607, 0.542)
V (0.297, 0.893, 0.042)
V (0.405, 0.575, 0.136)
V (0.405, 0.925, 0.636)
V (0.595, 0.075, 0.364)
V (0.595, 0.425, 0.864)
V (0.703, 0.107, 0.958)
V (0.703, 0.393, 0.458)
Sb (0.017, 0.047, 0.759)
Sb (0.017, 0.453, 0.259)
Sb (0.983, 0.547, 0.741)
Sb (0.983, 0.953, 0.241)
O (0.158, 0.679, 0.417)
O (0.158, 0.821, 0.917)
O (0.170, 0.615, 0.667)
O (0.170, 0.885, 0.167)
O (0.184, 0.607, 0.938)
O (0.184, 0.893, 0.438)
O (0.212, 0.514, 0.455)
O (0.212, 0.986, 0.955)
O (0.223, 0.510, 0.181)
O (0.223, 0.990, 0.681)
O (0.283, 0.033, 0.333)
O (0.283, 0.467, 0.833)
O (0.331, 0.125, 0.850)
O (0.331, 0.375, 0.350)
O (0.480, 0.656, 0.236)
O (0.480, 0.844, 0.736)
O (0.520, 0.156, 0.264)
O (0.520, 0.344, 0.764)
O (0.669, 0.625, 0.650)
O (0.669, 0.875, 0.150)
O (0.717, 0.533, 0.167)
O (0.717, 0.967, 0.667)
O (0.777, 0.010, 0.319)
O (0.777, 0.490, 0.819)
O (0.788, 0.014, 0.045)
O (0.788, 0.486, 0.545)
O (0.816, 0.107, 0.562)
O (0.816, 0.393, 0.062)
O (0.830, 0.115, 0.833)
O (0.830, 0.385, 0.333)
O (0.842, 0.179, 0.083)
O (0.842, 0.321, 0.583)

The 10 most intense peaks (2θ = 10–80°), in order of rising 2θ:
2θ/deg  intensity
10.34  29
22.99  100
24.26  62
24.40  80
26.03  88
27.74  47
27.99  69
31.34  68
39.40  24
40.97  25

***

No. 6
The following is a computed powder XRD pattern of CsSbWO6. It was derived from a crystal structure in the Materials Project, relaxed with GGA+U, using Cu Kα X-rays.
No peak broadening, texture or thermal motion is included.

Cell and atoms:
a b c (Å): 7.410 7.410 7.410
angles (deg): 120.73 89.64 119.69
Element x y z (fractional)
Cs (0.132, 0.250, 0.382)
Cs (0.868, 0.750, 0.618)
Sb (0.486, 0.486, 0.000)
Sb (0.486, 0.986, 0.500)
W (0.487, 0.987, 0.000)
W (0.987, 0.487, 0.000)
O (0.167, 0.357, 0.936)
O (0.167, 0.732, 0.310)
O (0.178, 0.736, 0.942)
O (0.411, 0.234, 0.677)
O (0.421, 0.232, 0.064)
O (0.421, 0.857, 0.690)
O (0.550, 0.116, 0.311)
O (0.550, 0.739, 0.934)
O (0.558, 0.734, 0.323)
O (0.794, 0.236, 0.058)
O (0.805, 0.239, 0.689)
O (0.805, 0.616, 0.066)

The 10 most intense peaks (2θ = 10–80°), in order of rising 2θ:
2θ/deg  intensity
14.74  21
24.02  14
28.20  100
28.45  31
29.41  27
29.72  31
44.80  17
45.24  21
49.19  33
58.34  13

***

No. 7
The following is a computed powder XRD pattern of CsSbWO6. It was derived from a crystal structure in the Materials Project, relaxed with GGA+U, using Cu Kα X-rays.
No peak broadening, texture or thermal motion is included.

Cell and atoms:
a b c (Å): 7.404 7.404 7.404
angles (deg): 120.68 119.73 89.65
Element x y z (fractional)
Cs (0.373, 0.123, 0.250)
Cs (0.627, 0.877, 0.750)
Sb (0.000, 0.000, 0.500)
Sb (0.000, 0.500, 0.000)
W (0.000, 0.500, 0.500)
W (0.500, 0.500, 0.000)
O (0.065, 0.435, 0.255)
O (0.065, 0.811, 0.630)
O (0.073, 0.823, 0.250)
O (0.308, 0.558, 0.750)
O (0.319, 0.189, 0.755)
O (0.319, 0.565, 0.130)
O (0.681, 0.435, 0.870)
O (0.681, 0.811, 0.245)
O (0.692, 0.442, 0.250)
O (0.927, 0.177, 0.750)
O (0.935, 0.189, 0.370)
O (0.935, 0.565, 0.745)

The 10 most intense peaks (2θ = 10–80°), in order of rising 2θ:
2θ/deg  intensity
14.74  22
24.04  14
28.23  100
28.46  32
29.44  28
29.73  29
44.85  16
45.26  22
49.23  33
58.40  13

***

No. 8
The following is a computed powder XRD pattern of Cs2W3SeO12. It was derived from a crystal structure in the Materials Project, relaxed with GGA+U, using Cu Kα X-rays.
No peak broadening, texture or thermal motion is included.

Cell and atoms:
a b c (Å): 7.360 7.360 13.162
angles (deg): 90.00 90.00 120.00
Element x y z (fractional)
Cs (0.333, 0.667, 0.000)
Cs (0.333, 0.667, 0.373)
Cs (0.667, 0.333, 0.500)
Cs (0.667, 0.333, 0.873)
W (0.151, 0.812, 0.673)
W (0.188, 0.338, 0.673)
W (0.338, 0.151, 0.173)
W (0.662, 0.849, 0.673)
W (0.812, 0.662, 0.173)
W (0.849, 0.188, 0.173)
Se (0.000, 0.000, 0.456)
Se (0.000, 0.000, 0.956)
O (0.090, 0.541, 0.634)
O (0.120, 0.872, 0.181)
O (0.123, 0.873, 0.510)
O (0.127, 0.249, 0.510)
O (0.128, 0.248, 0.181)
O (0.191, 0.797, 0.803)
O (0.203, 0.394, 0.803)
O (0.248, 0.120, 0.681)
O (0.249, 0.123, 0.010)
O (0.394, 0.191, 0.303)
O (0.451, 0.910, 0.634)
O (0.459, 0.549, 0.634)
O (0.541, 0.451, 0.134)
O (0.549, 0.090, 0.134)
O (0.606, 0.809, 0.803)
O (0.751, 0.877, 0.510)
O (0.752, 0.880, 0.181)
O (0.797, 0.606, 0.303)
O (0.809, 0.203, 0.303)
O (0.872, 0.752, 0.681)
O (0.873, 0.751, 0.010)
O (0.877, 0.127, 0.010)
O (0.880, 0.128, 0.681)
O (0.910, 0.459, 0.134)

The 10 most intense peaks (2θ = 10–80°), in order of rising 2θ:
2θ/deg  intensity
13.45  44
24.63  59
27.10  22
27.77  72
28.00  20
28.82  100
42.82  18
44.65  38
44.83  19
49.54  31